No. 1
Starting from the GGA-PBE geometry in the Materials Project, the X-ray diffraction stick pattern of Ca2GaPd2 was computed for Cu Kα X-rays.

Largest 10 diffraction maxima, sorted by position, 2θ from 5° to 70°:
- hkl 1 1 0, 17.95 deg, intensity 100
- hkl 1 1 1, 22.50 deg, intensity 52
- hkl 0 2 1, 33.28 deg, intensity 33
- hkl 3 1 -2, 35.64 deg, intensity 46
- hkl 3 1 1, 36.12 deg, intensity 49
- hkl 2 2 -1, 36.89 deg, intensity 53
- hkl 1 1 -3, 37.67 deg, intensity 56
- hkl 4 0 -2, 39.25 deg, intensity 50
- hkl 2 2 1, 39.59 deg, intensity 96
- hkl 4 0 2, 48.88 deg, intensity 36

Crystal structure
a = 9.937 Å, b = 5.749 Å, c = 7.880 Å
α = 90.00°, β = 103.15°, γ = 90.00°
Space group C2/c (No. 15)
One atom of each set of equivalent atoms:
Ca (0.150, 0.134, 0.150) [8 per cell]
Ga (0.000, 0.366, 0.750) [4 per cell]
Pd (0.128, 0.368, 0.503) [8 per cell]

=====

No. 2
Starting from the GGA-PBE geometry in the Materials Project, the X-ray diffraction stick pattern of Ca3Ga2Pd2 was computed for Cu Kα X-rays.

Largest 10 diffraction maxima, sorted by position, 2θ from 5° to 70°:
- hkl 1 0 0, 15.21 deg, intensity 36
- hkl 1 0 2, 19.89 deg, intensity 80
- hkl 2 1 0, 32.73 deg, intensity 19
- hkl 1 2 3, 33.35 deg, intensity 40
- hkl 0 2 4, 34.13 deg, intensity 36
- hkl 1 3 0, 37.19 deg, intensity 42
- hkl 1 2 4, 37.56 deg, intensity 30
- hkl 2 1 3, 38.14 deg, intensity 100
- hkl 0 0 6, 38.66 deg, intensity 22
- hkl 0 2 6, 45.09 deg, intensity 20

Crystal structure
a = 5.826 Å, b = 7.971 Å, c = 13.975 Å
α = 90.00°, β = 90.00°, γ = 90.00°
Space group Pbcm (No. 57)
One atom of each set of equivalent atoms:
Ca (0.135, 0.244, 0.250) [4 per cell]
Ca (0.360, 0.606, 0.599) [8 per cell]
Ga (0.128, 0.250, 0.000) [4 per cell]
Ga (0.353, 0.594, 0.250) [4 per cell]
Pd (0.133, 0.533, 0.092) [8 per cell]